For HRuRhC6O6, DFT lattice parameters and positions (GGA-PBE) gives the computed powder XRD pattern in this record (Cu Ka).

Crystal structure
```
data_HRuRhC6O6
_chemical_formula_sum 'H4 Ru4 Rh4 C24 O24'
_cell_length_a 10.155
_cell_length_b 10.257
_cell_length_c 10.444
_cell_angle_alpha 94.82
_cell_angle_beta 90.43
_cell_angle_gamma 98.21
_symmetry_space_group_name_H-M 'P 1'
_symmetry_Int_Tables_number 1
loop_
_symmetry_equiv_pos_as_xyz
'x,y,z'
loop_
_atom_site_label
_atom_site_type_symbol
_atom_site_fract_x
_atom_site_fract_y
_atom_site_fract_z
_atom_site_occupancy
H1 H 0.141 0.106 0.311 1
H2 H 0.242 0.097 0.094 1
H3 H 0.758 0.903 0.906 1
H4 H 0.859 0.894 0.689 1
Ru1 Ru 0.215 0.265 0.065 1
Ru2 Ru 0.302 0.086 0.253 1
Ru3 Ru 0.698 0.914 0.747 1
Ru4 Ru 0.785 0.735 0.935 1
Rh1 Rh 0.112 0.273 0.313 1
Rh2 Rh 0.381 0.359 0.280 1
Rh3 Rh 0.619 0.641 0.720 1
Rh4 Rh 0.888 0.727 0.687 1
C1 C 0.023 0.797 0.576 1
C2 C 0.024 0.201 0.111 1
C3 C 0.048 0.436 0.313 1
C4 C 0.180 0.428 0.011 1
C5 C 0.197 0.190 0.892 1
C6 C 0.218 0.906 0.219 1
C7 C 0.275 0.347 0.446 1
C8 C 0.350 0.067 0.428 1
C9 C 0.411 0.549 0.287 1
C10 C 0.419 0.323 0.070 1
C11 C 0.449 0.666 0.662 1
C12 C 0.470 0.051 0.188 1
C13 C 0.530 0.949 0.812 1
C14 C 0.551 0.334 0.338 1
C15 C 0.581 0.677 0.930 1
C16 C 0.589 0.451 0.713 1
C17 C 0.650 0.933 0.572 1
C18 C 0.725 0.653 0.554 1
C19 C 0.782 0.094 0.781 1
C20 C 0.803 0.810 0.108 1
C21 C 0.820 0.572 0.989 1
C22 C 0.952 0.564 0.687 1
C23 C 0.976 0.799 0.889 1
C24 C 0.977 0.203 0.424 1
O1 O 0.005 0.535 0.318 1
O2 O 0.084 0.850 0.916 1
O3 O 0.101 0.842 0.505 1
O4 O 0.159 0.528 0.977 1
O5 O 0.169 0.797 0.198 1
O6 O 0.178 0.144 0.787 1
O7 O 0.284 0.367 0.558 1
O8 O 0.346 0.682 0.621 1
O9 O 0.373 0.053 0.534 1
O10 O 0.430 0.663 0.297 1
O11 O 0.431 0.976 0.852 1
O12 O 0.482 0.664 0.988 1
O13 O 0.518 0.336 0.012 1
O14 O 0.569 0.024 0.148 1
O15 O 0.570 0.337 0.703 1
O16 O 0.627 0.947 0.466 1
O17 O 0.654 0.318 0.379 1
O18 O 0.716 0.633 0.442 1
O19 O 0.822 0.856 0.213 1
O20 O 0.831 0.203 0.802 1
O21 O 0.841 0.472 0.023 1
O22 O 0.899 0.158 0.495 1
O23 O 0.916 0.150 0.084 1
O24 O 0.995 0.465 0.682 1
```

Top 12 peaks for 2θ from 15° to 90°, in order of rising 2θ:
two_theta	d_spacing	Rel. int.
17.0	5.203	57
17.5	5.057	53
18.5	4.800	53
27.4	3.260	100
27.7	3.221	53
28.1	3.174	68
28.2	3.161	48
31.5	2.842	46
35.3	2.540	47
35.8	2.506	85
36.6	2.454	46
37.8	2.378	50